Structure and simulated X-ray powder pattern of NdErAlRh (DFT lattice parameters and positions (PBE); Cu Kα (weighted mean of Kα1 and Kα2)).
Kinematic intensities with the Lorentz-polarization factor, no thermal factor.

The 12 most intense peaks (10° ≤ 2θ ≤ 90°), in order of rising 2θ:
2θ = 21.5°, rel. 8
2θ = 24.9°, rel. 20
2θ = 35.5°, rel. 100
2θ = 41.9°, rel. 4
2θ = 43.9°, rel. 6
2θ = 51.1°, rel. 18
2θ = 56.1°, rel. 2
2θ = 57.7°, rel. 8
2θ = 63.8°, rel. 36
2θ = 75.2°, rel. 11
2θ = 80.6°, rel. 4
2θ = 86.0°, rel. 16

Crystal structure
Cell lengths 7.148, 7.148, 7.148 Å; angles 90.00, 90.00, 90.00 degrees
Space group F-43m (No. 216)
Asymmetric unit:
Nd: 0.000 0.000 0.000 x4
Er: 0.000 0.000 0.500 x4
Al: 0.250 0.250 0.250 x4
Rh: 0.250 0.250 0.750 x4

---

Structure and simulated X-ray powder pattern of SrTm2In4 (DFT lattice parameters and positions (PBE); Cu Kα (weighted mean of Kα1 and Kα2)).
Kinematic intensities with the Lorentz-polarization factor, no thermal factor.

The 12 most intense peaks (10° ≤ 2θ ≤ 90°), in order of rising 2θ:
2θ = 31.2°, rel. 100
2θ = 31.8°, rel. 41
2θ = 34.8°, rel. 68
2θ = 36.7°, rel. 37
2θ = 39.5°, rel. 31
2θ = 45.4°, rel. 12
2θ = 48.4°, rel. 17
2θ = 49.3°, rel. 24
2θ = 59.7°, rel. 14
2θ = 61.0°, rel. 26
2θ = 62.3°, rel. 16
2θ = 62.6°, rel. 13

Crystal structure
Cell lengths 3.758, 4.898, 21.224 Å; angles 90.00, 90.00, 90.00 degrees
Space group Immm (No. 71)
Asymmetric unit:
Sr: 0.000 0.000 0.000 x2
Tm: 0.000 0.500 0.199 x4
In: 0.000 0.000 0.428 x4
In: 0.000 0.500 0.346 x4

---

Structure and simulated X-ray powder pattern of LiCdGaHg (DFT lattice parameters and positions (PBE); Cu Kα (weighted mean of Kα1 and Kα2)).
Kinematic intensities with the Lorentz-polarization factor, no thermal factor.

The 12 most intense peaks (10° ≤ 2θ ≤ 90°), in order of rising 2θ:
2θ = 22.8°, rel. 54
2θ = 28.0°, rel. 36
2θ = 36.4°, rel. 100
2θ = 40.0°, rel. 45
2θ = 46.5°, rel. 26
2θ = 46.6°, rel. 12
2θ = 55.2°, rel. 11
2θ = 57.8°, rel. 17
2θ = 63.0°, rel. 29
2θ = 70.3°, rel. 29
2θ = 77.3°, rel. 13
2θ = 79.7°, rel. 10

Crystal structure
Cell lengths 4.512, 4.512, 7.796 Å; angles 90.00, 90.00, 90.00 degrees
Space group I-4m2 (No. 119)
Asymmetric unit:
Li: 0.000 0.000 0.000 x2
Cd: 0.000 0.500 0.250 x2
Ga: 0.000 0.000 0.500 x2
Hg: 0.000 0.500 0.750 x2

---

Structure and simulated X-ray powder pattern of Tm4SbTe (DFT lattice parameters and positions (PBE); Cu Kα (weighted mean of Kα1 and Kα2)).
Kinematic intensities with the Lorentz-polarization factor, no thermal factor.

The 12 most intense peaks (10° ≤ 2θ ≤ 90°), in order of rising 2θ:
2θ = 18.1°, rel. 32
2θ = 25.6°, rel. 17
2θ = 27.9°, rel. 100
2θ = 28.7°, rel. 26
2θ = 35.9°, rel. 42
2θ = 36.6°, rel. 34
2θ = 42.8°, rel. 17
2θ = 44.6°, rel. 39
2θ = 46.6°, rel. 25
2θ = 54.4°, rel. 13
2θ = 57.6°, rel. 18
2θ = 77.3°, rel. 19

Crystal structure
Cell lengths 9.826, 9.826, 8.448 Å; angles 90.00, 90.00, 90.00 degrees
Space group I4_1md (No. 109)
Asymmetric unit:
Tm: 0.000 0.293 0.000 x8
Tm: 0.000 0.293 0.498 x8
Sb: 0.000 0.000 0.999 x4
Te: 0.000 0.000 0.499 x4

---

Repeat the second record exactly.
Structure and simulated X-ray powder pattern of SrTm2In4 (DFT lattice parameters and positions (PBE); Cu Kα (weighted mean of Kα1 and Kα2)).
Kinematic intensities with the Lorentz-polarization factor, no thermal factor.

The 12 most intense peaks (10° ≤ 2θ ≤ 90°), in order of rising 2θ:
2θ = 31.2°, rel. 100
2θ = 31.8°, rel. 41
2θ = 34.8°, rel. 68
2θ = 36.7°, rel. 37
2θ = 39.5°, rel. 31
2θ = 45.4°, rel. 12
2θ = 48.4°, rel. 17
2θ = 49.3°, rel. 24
2θ = 59.7°, rel. 14
2θ = 61.0°, rel. 26
2θ = 62.3°, rel. 16
2θ = 62.6°, rel. 13

Crystal structure
Cell lengths 3.758, 4.898, 21.224 Å; angles 90.00, 90.00, 90.00 degrees
Space group Immm (No. 71)
Asymmetric unit:
Sr: 0.000 0.000 0.000 x2
Tm: 0.000 0.500 0.199 x4
In: 0.000 0.000 0.428 x4
In: 0.000 0.500 0.346 x4

---

Question: Number 4 is which compound?
Answer: Tm4SbTe

---

Question: What is the formula in the first record?
Answer: NdErAlRh

---

Question: Number 3 is which compound?
Answer: LiCdGaHg